Record 1
Starting from a structure optimized by DFT (GGA-PBE), the X-ray powder pattern of MgSn5 was simulated for Cu Kα (weighted mean of Kα1 and Kα2).

Atomic structure:
a b c (Å): 3.320 3.320 16.889
angles (deg): 90.00 90.00 120.00
Atoms (fractional coordinates):
Mg1 0.000 0.000 0.000
Sn1 0.000 0.000 0.330
Sn2 0.000 0.000 0.670
Sn3 0.667 0.333 0.156
Sn4 0.667 0.333 0.500
Sn5 0.667 0.333 0.844

The 10 most intense peaks (2θ from 10° to 90°), in order of rising 2θ:
2θ/deg, d (Å), I_rel
31.10, 2.875, 25
31.79, 2.815, 27
32.91, 2.722, 6
35.04, 2.561, 100
45.07, 2.011, 17
55.34, 1.660, 19
58.76, 1.571, 20
65.25, 1.430, 22
67.21, 1.393, 16
84.99, 1.141, 8

=====

Record 2
Starting from a structure optimized by DFT (GGA-PBE), the X-ray powder pattern of TcPt3 was simulated for Cu Kα (weighted mean of Kα1 and Kα2).

Atomic structure:
a b c (Å): 4.858 4.858 4.858
angles (deg): 132.46 132.46 69.50
Atoms (fractional coordinates):
Tc1 0.000 0.000 0.000
Pt1 0.250 0.750 0.500
Pt2 0.500 0.500 0.000
Pt3 0.750 0.250 0.500

The 10 most intense peaks (2θ from 10° to 90°), in order of rising 2θ:
2θ/deg, d (Å), I_rel
22.27, 3.991, 2
25.33, 3.516, 6
39.61, 2.275, 100
45.45, 1.996, 17
46.37, 1.958, 32
66.95, 1.398, 22
67.67, 1.384, 10
80.01, 1.199, 13
81.36, 1.183, 25
85.33, 1.138, 11

=====

Record 3
Starting from a structure optimized by DFT (GGA-PBE), the X-ray powder pattern of Ti2AlCu was simulated for Cu Kα (weighted mean of Kα1 and Kα2).

Atomic structure:
a b c (Å): 4.460 4.460 4.460
angles (deg): 60.00 60.00 60.00
Atoms (fractional coordinates):
Ti1 0.000 0.000 0.000
Ti2 0.250 0.250 0.250
Al1 0.500 0.500 0.500
Cu1 0.750 0.750 0.750

The 10 most intense peaks (2θ from 10° to 90°), in order of rising 2θ:
2θ/deg, d (Å), I_rel
24.44, 3.642, 6
28.30, 3.154, 7
40.45, 2.230, 100
47.83, 1.902, 3
50.10, 1.821, 2
58.54, 1.577, 15
64.39, 1.447, 1
66.27, 1.410, 2
73.57, 1.287, 30
87.48, 1.115, 9

=====

Record 4
Starting from a structure optimized by DFT (GGA-PBE), the X-ray powder pattern of TiB6O6 was simulated for Cu Kα (weighted mean of Kα1 and Kα2).

Atomic structure:
a b c (Å): 6.038 6.038 5.995
angles (deg): 117.53 117.53 81.15
Atoms (fractional coordinates):
Ti1 0.000 0.000 0.000
B1 0.077 0.394 0.915
B2 0.165 0.165 0.507
B3 0.394 0.077 0.915
B4 0.606 0.923 0.085
B5 0.835 0.835 0.493
B6 0.923 0.606 0.085
O1 0.058 0.360 0.662
O2 0.242 0.242 0.041
O3 0.360 0.058 0.662
O4 0.640 0.942 0.338
O5 0.758 0.758 0.959
O6 0.942 0.640 0.338

The 10 most intense peaks (2θ from 10° to 90°), in order of rising 2θ:
2θ/deg, d (Å), I_rel
16.60, 5.339, 100
18.65, 4.757, 25
22.64, 3.927, 18
24.46, 3.639, 32
29.49, 3.029, 18
30.23, 2.957, 26
31.61, 2.831, 32
33.72, 2.658, 24
37.49, 2.399, 34
40.92, 2.206, 18